For RbDyVBr6, a crystal structure in Alexandria, relaxed with PBE gives the simulated powder XRD pattern in this record (CuKα).
Peak positions follow from Bragg's law for the DFT cell and can differ from measured ones.

Most intense lines, 2θ = 5–70°, by angle:
two_theta  Rel. int.  index
11.26  599  0 0 2
18.41  679  1 0 2
27.75  862  1 1 2
34.19  1000  1 1 4
40.78  209  2 1 2
43.04  262  2 -1 6
44.55  393  3 0 0
45.65  143  2 0 6
53.41  177  2 -1 8
57.33  210  4 -2 4

Cell and atoms:
```
data_RbDyVBr6
_symmetry_space_group_name_H-M 'P -3 1 c'
_symmetry_Int_Tables_number 163
_symmetry_space_group_name_Hall '-P 3 2c'
_cell_length_a 7.0455
_cell_length_b 7.0455
_cell_length_c 15.7121
_cell_angle_alpha 90.00
_cell_angle_beta 90.00
_cell_angle_gamma 120.00
loop_
_atom_site_label
_atom_site_type_symbol
_atom_site_fract_x
_atom_site_fract_y
_atom_site_fract_z
Rb1 Rb 0.0000 0.0000 0.0000
Dy1 Dy 0.3333 0.6667 0.2500
V1 V 0.3333 0.6667 0.7500
Br1 Br 0.0168 0.3747 0.6501
```